Record 1
# Y3Ga6Ni5
Calculated X-ray diffraction stick pattern, Cu Kα (λ = 1.5418 Å). Input: a cell relaxed with GGA-PBE.
Kinematic intensities with the Lorentz-polarization factor, no thermal factor.

Cell and atoms:
Cell: 4.124 12.434 8.921 Å, 90.00 90.00 90.00°
Atoms (fractional coordinates):
Y 0.250 0.051 0.247
Y 0.250 0.449 0.247
Y 0.250 0.750 0.262
Y 0.750 0.250 0.738
Y 0.750 0.551 0.753
Y 0.750 0.949 0.753
Ga 0.250 0.073 0.591
Ga 0.250 0.250 0.036
Ga 0.250 0.250 0.417
Ga 0.250 0.427 0.591
Ga 0.250 0.600 0.981
Ga 0.250 0.900 0.981
Ga 0.750 0.100 0.019
Ga 0.750 0.400 0.019
Ga 0.750 0.573 0.409
Ga 0.750 0.750 0.583
Ga 0.750 0.750 0.964
Ga 0.750 0.927 0.409
Ni 0.250 0.092 0.869
Ni 0.250 0.408 0.869
Ni 0.250 0.638 0.542
Ni 0.250 0.750 0.782
Ni 0.250 0.862 0.542
Ni 0.750 0.138 0.458
Ni 0.750 0.250 0.218
Ni 0.750 0.362 0.458
Ni 0.750 0.592 0.131
Ni 0.750 0.908 0.131

Main lines, by angle (5 to 70 degrees two-theta):
2θ 35.19, 2.550 Å, intensity 21; 2θ 36.76, 2.445 Å, intensity 100; 2θ 37.25, 2.414 Å, intensity 65; 2θ 37.61, 2.392 Å, intensity 23; 2θ 40.10, 2.249 Å, intensity 33; 2θ 42.45, 2.130 Å, intensity 21; 2θ 43.68, 2.072 Å, intensity 31; 2θ 43.91, 2.062 Å, intensity 55; 2θ 46.89, 1.938 Å, intensity 15; 2θ 58.88, 1.568 Å, intensity 15

Record 2
# RbCa3Se4O12
Calculated X-ray diffraction stick pattern, Cu Kα (λ = 1.5418 Å). Input: a cell relaxed with GGA-PBE.
Kinematic intensities with the Lorentz-polarization factor, no thermal factor.

Cell and atoms:
Cell: 7.555 7.555 7.555 Å, 105.72 105.72 105.72°
Atoms (fractional coordinates):
Rb 0.000 0.000 0.000
Ca 0.000 0.554 0.446
Ca 0.446 0.000 0.554
Ca 0.554 0.446 0.000
Se 0.050 0.500 0.950
Se 0.500 0.500 0.500
Se 0.500 0.950 0.050
Se 0.950 0.050 0.500
O 0.039 0.620 0.782
O 0.105 0.895 0.500
O 0.218 0.380 0.961
O 0.349 0.651 0.500
O 0.380 0.961 0.218
O 0.500 0.105 0.895
O 0.500 0.349 0.651
O 0.620 0.782 0.039
O 0.651 0.500 0.349
O 0.782 0.039 0.620
O 0.895 0.500 0.105
O 0.961 0.218 0.380

Main lines, by angle (5 to 70 degrees two-theta):
2θ 24.72, 3.602 Å, intensity 23; 2θ 26.40, 3.376 Å, intensity 100; 2θ 29.67, 3.011 Å, intensity 31; 2θ 30.32, 2.948 Å, intensity 18; 2θ 32.56, 2.750 Å, intensity 15; 2θ 40.13, 2.247 Å, intensity 11; 2θ 44.45, 2.038 Å, intensity 21; 2θ 49.74, 1.833 Å, intensity 12; 2θ 50.66, 1.802 Å, intensity 21; 2θ 54.97, 1.670 Å, intensity 11

Record 3
# Ho3Fe2Ni7
Calculated X-ray diffraction stick pattern, Cu Kα (λ = 1.5418 Å). Input: a cell relaxed with GGA-PBE.
Kinematic intensities with the Lorentz-polarization factor, no thermal factor.

Cell and atoms:
Cell: 8.601 8.601 8.601 Å, 33.72 33.72 33.72°
Atoms (fractional coordinates):
Ho 0.000 0.000 0.000
Ho 0.139 0.139 0.139
Ho 0.861 0.861 0.861
Fe 0.333 0.333 0.333
Fe 0.667 0.667 0.667
Ni 0.082 0.581 0.581
Ni 0.419 0.419 0.918
Ni 0.419 0.918 0.419
Ni 0.500 0.500 0.500
Ni 0.581 0.082 0.581
Ni 0.581 0.581 0.082
Ni 0.918 0.419 0.419

Main lines, by angle (5 to 70 degrees two-theta):
2θ 33.09, 2.707 Å, intensity 53; 2θ 36.00, 2.495 Å, intensity 52; 2θ 36.13, 2.486 Å, intensity 42; 2θ 41.98, 2.152 Å, intensity 40; 2θ 42.55, 2.125 Å, intensity 100; 2θ 45.97, 1.974 Å, intensity 14; 2θ 46.13, 1.968 Å, intensity 13; 2θ 62.88, 1.478 Å, intensity 16; 2θ 64.77, 1.439 Å, intensity 25; 2θ 69.23, 1.357 Å, intensity 21

Record 4
# KOsNO3
Calculated X-ray diffraction stick pattern, Cu Kα (λ = 1.5418 Å). Input: a cell relaxed with GGA-PBE.
Kinematic intensities with the Lorentz-polarization factor, no thermal factor.

Cell and atoms:
Cell: 5.817 5.822 7.780 Å, 111.93 111.40 90.02°
Atoms (fractional coordinates):
K 0.000 0.000 0.000
K 0.238 0.748 0.499
Os 0.489 0.508 0.004
Os 0.738 0.245 0.505
N 0.518 0.222 0.850
N 0.878 0.271 0.354
O 0.307 0.658 0.853
O 0.337 0.460 0.150
O 0.442 0.057 0.351
O 0.707 0.550 0.651
O 0.793 0.682 0.154
O 0.931 0.100 0.656

Main lines, by angle (5 to 70 degrees two-theta):
2θ 16.61, 5.336 Å, intensity 87; 2θ 16.71, 5.307 Å, intensity 30; 2θ 25.29, 3.522 Å, intensity 23; 2θ 25.39, 3.508 Å, intensity 100; 2θ 25.56, 3.485 Å, intensity 87; 2θ 26.88, 3.317 Å, intensity 30; 2θ 30.73, 2.910 Å, intensity 41; 2θ 35.11, 2.556 Å, intensity 21; 2θ 41.26, 2.188 Å, intensity 24; 2θ 51.44, 1.776 Å, intensity 25

Record 5
# Mn5Os3
Calculated X-ray diffraction stick pattern, Cu Kα (λ = 1.5418 Å). Input: a cell relaxed with GGA-PBE.
Kinematic intensities with the Lorentz-polarization factor, no thermal factor.

Cell and atoms:
Cell: 3.660 3.720 7.411 Å, 90.00 90.00 90.00°
Atoms (fractional coordinates):
Mn 0.000 0.000 0.000
Mn 0.000 0.000 0.500
Mn 0.000 0.500 0.249
Mn 0.000 0.500 0.751
Mn 0.500 0.500 0.500
Os 0.500 0.000 0.254
Os 0.500 0.000 0.746
Os 0.500 0.500 0.000

Main lines, by angle (5 to 70 degrees two-theta):
2θ 11.94, 7.411 Å, intensity 10; 2θ 23.97, 3.713 Å, intensity 5; 2θ 24.32, 3.660 Å, intensity 23; 2θ 34.15, 2.625 Å, intensity 20; 2θ 42.37, 2.133 Å, intensity 100; 2θ 48.97, 1.860 Å, intensity 16; 2θ 49.17, 1.853 Å, intensity 16; 2θ 49.84, 1.830 Å, intensity 15; 2θ 55.41, 1.658 Å, intensity 6; 2θ 61.80, 1.501 Å, intensity 8

Record 6
# AlHO2
Calculated X-ray diffraction stick pattern, Cu Kα (λ = 1.5418 Å). Input: a cell relaxed with GGA-PBE.
Kinematic intensities with the Lorentz-polarization factor, no thermal factor.

Cell and atoms:
Cell: 2.909 16.565 3.676 Å, 90.00 90.00 90.00°
Atoms (fractional coordinates):
Al 0.250 0.051 0.250
Al 0.250 0.449 0.250
Al 0.750 0.551 0.750
Al 0.750 0.949 0.750
H 0.250 0.661 0.535
H 0.250 0.839 0.535
H 0.750 0.161 0.465
H 0.750 0.339 0.465
O 0.250 0.030 0.751
O 0.250 0.470 0.751
O 0.250 0.626 0.749
O 0.250 0.874 0.749
O 0.750 0.126 0.251
O 0.750 0.374 0.251
O 0.750 0.530 0.249
O 0.750 0.970 0.249

Main lines, by angle (5 to 70 degrees two-theta):
2θ 10.68, 8.282 Å, intensity 100; 2θ 24.81, 3.589 Å, intensity 6; 2θ 29.18, 3.060 Å, intensity 8; 2θ 34.86, 2.574 Å, intensity 3; 2θ 41.30, 2.186 Å, intensity 13; 2θ 49.63, 1.837 Å, intensity 9; 2θ 50.89, 1.794 Å, intensity 3; 2θ 60.37, 1.533 Å, intensity 4; 2θ 64.00, 1.455 Å, intensity 2; 2θ 66.46, 1.407 Å, intensity 5

Record 7
# DyTmTh2Te5
Calculated X-ray diffraction stick pattern, Cu Kα (λ = 1.5418 Å). Input: a cell relaxed with GGA-PBE.
Kinematic intensities with the Lorentz-polarization factor, no thermal factor.

Cell and atoms:
Cell: 5.380 5.380 11.534 Å, 90.00 90.00 90.00°
Atoms (fractional coordinates):
Dy 0.000 0.000 0.000
Tm 0.000 0.000 0.500
Th 0.500 0.500 0.336
Th 0.500 0.500 0.664
Te 0.000 0.000 0.247
Te 0.000 0.000 0.753
Te 0.000 0.500 0.500
Te 0.500 0.000 0.500
Te 0.500 0.500 0.000

Main lines, by angle (5 to 70 degrees two-theta):
2θ 7.67, 11.534 Å, intensity 92; 2θ 23.39, 3.804 Å, intensity 100; 2θ 28.54, 3.128 Å, intensity 53; 2θ 33.13, 2.704 Å, intensity 65; 2θ 33.31, 2.690 Å, intensity 99; 2θ 35.32, 2.541 Å, intensity 43; 2θ 44.42, 2.039 Å, intensity 32; 2θ 47.82, 1.902 Å, intensity 36; 2θ 49.33, 1.847 Å, intensity 34; 2θ 59.41, 1.556 Å, intensity 25

Record 8
# CeCo2B2C
Calculated X-ray diffraction stick pattern, Cu Kα (λ = 1.5418 Å). Input: a cell relaxed with GGA-PBE.
Kinematic intensities with the Lorentz-polarization factor, no thermal factor.

Cell and atoms:
Cell: 5.624 5.624 5.624 Å, 142.31 142.31 54.36°
Atoms (fractional coordinates):
Ce 0.000 0.000 0.000
Co 0.250 0.750 0.500
Co 0.750 0.250 0.500
B 0.348 0.348 0.000
B 0.652 0.652 0.000
C 0.500 0.500 0.000

Main lines, by angle (5 to 70 degrees two-theta):
2θ 26.09, 3.415 Å, intensity 57; 2θ 35.90, 2.501 Å, intensity 31; 2θ 36.57, 2.457 Å, intensity 36; 2θ 39.43, 2.285 Å, intensity 100; 2θ 50.22, 1.817 Å, intensity 28; 2θ 52.19, 1.753 Å, intensity 10; 2θ 57.46, 1.604 Å, intensity 14; 2θ 63.27, 1.470 Å, intensity 22; 2θ 63.71, 1.461 Å, intensity 14; 2θ 66.89, 1.399 Å, intensity 22